This entry pairs a crystal structure of LiMnInH6 with its theoretical PXRD pattern. Radiation: Cu Ka. Structure: the GGA-PBE geometry in Alexandria.
No peak broadening, texture or thermal motion is included.

Structural model:
Cell: 4.355 4.355 8.173 Å, 90.00 90.00 90.00°
Fractional positions:
Li 0.000 0.000 0.000
Li 0.500 0.500 0.500
Mn 0.000 0.000 0.664
Mn 0.500 0.500 0.164
In 0.000 0.000 0.344
In 0.500 0.500 0.844
H 0.168 0.168 0.819
H 0.215 0.215 0.555
H 0.228 0.228 0.162
H 0.272 0.728 0.662
H 0.285 0.715 0.055
H 0.332 0.668 0.319
H 0.668 0.332 0.319
H 0.715 0.285 0.055
H 0.728 0.272 0.662
H 0.772 0.772 0.162
H 0.785 0.785 0.555
H 0.832 0.832 0.819

Peak list (8 most intense, 2θ = 10–80°, low angle first)
(hkl), Position (°2θ), I (rel.)
0 0 2, 21.75, 22
1 0 1, 23.14, 100
1 1 0, 29.00, 91
1 1 2, 36.54, 24
1 0 3, 39.00, 77
2 0 0, 41.47, 31
2 1 1, 48.02, 28
2 1 3, 58.23, 47